# CaSi3Ni5
Simulated powder X-ray diffraction pattern, a wavelength of 1.5418 Å. Input: a PBE-relaxed structure.
Intensities are scaled so that the largest is 1000.

The 10 most intense peaks (2θ from 10° to 90°), in order of rising 2θ:
hkl 0 0 2, 2θ = 15.3°, d 5.796, I 821
hkl 0 2 1, 2θ = 16.9°, d 5.250, I 651
hkl 1 3 0, 2θ = 33.4°, d 2.685, I 447
hkl 1 1 3, 2θ = 34.5°, d 2.599, I 892
hkl 1 1 4, 2θ = 40.3°, d 2.236, I 1000
hkl 1 5 0, 2θ = 45.7°, d 1.984, I 541
hkl 1 1 5, 2θ = 47.0°, d 1.935, I 646
hkl 1 5 2, 2θ = 48.5°, d 1.877, I 640
hkl 2 0 0, 2θ = 49.5°, d 1.840, I 739
hkl 0 2 6, 2θ = 49.7°, d 1.836, I 370

Atomic structure:
Lattice parameters (Å, degrees): 3.6809 11.7774 11.5923 90.00 90.00 90.00
Space group Cmcm (No. 63)
Unique sites:
Ca: 0.0000 0.1636 0.2500 x4
Si: 0.0000 0.1079 0.7500 x4
Si: 0.0000 0.3826 0.5402 x8
Ni: 0.0000 0.0000 0.0000 x4
Ni: 0.0000 0.1959 0.5658 x8
Ni: 0.0000 0.4478 0.1443 x8



# CuPO5
Simulated powder X-ray diffraction pattern, a wavelength of 1.5418 Å. Input: a PBE-relaxed structure.
Intensities are scaled so that the largest is 1000.

The 10 most intense peaks (2θ from 10° to 90°), in order of rising 2θ:
hkl 0 1 1, 2θ = 17.0°, d 5.217, I 220
hkl 1 1 1, 2θ = 22.6°, d 3.927, I 632
hkl 0 1 2, 2θ = 23.4°, d 3.807, I 1000
hkl 1 1 2, 2θ = 27.8°, d 3.209, I 315
hkl 2 0 0, 2θ = 30.0°, d 2.983, I 385
hkl 2 0 1, 2θ = 31.4°, d 2.852, I 169
hkl 1 2 1, 2θ = 33.9°, d 2.646, I 204
hkl 1 1 3, 2θ = 34.8°, d 2.575, I 204
hkl 2 1 2, 2θ = 38.3°, d 2.348, I 168
hkl 0 2 3, 2θ = 40.4°, d 2.232, I 325

Atomic structure:
Lattice parameters (Å, degrees): 5.9657 6.2021 9.6447 90.00 90.00 90.00
Space group P2_12_12_1 (No. 19)
Unique sites:
Cu: 0.2000 0.1325 0.0987 x4
P: 0.2235 0.5321 0.8506 x4
O: 0.0114 0.9562 0.6795 x4
O: 0.1340 0.6274 0.4347 x4
O: 0.1478 0.3589 0.2360 x4
O: 0.1752 0.7298 0.9810 x4
O: 0.2413 0.9302 0.9471 x4



# NaC3F12
Simulated powder X-ray diffraction pattern, a wavelength of 1.5418 Å. Input: a PBE-relaxed structure.
Intensities are scaled so that the largest is 1000.

The 10 most intense peaks (2θ from 10° to 90°), in order of rising 2θ:
hkl 1 0 0, 2θ = 10.1°, d 8.777, I 90
hkl 1 0 1, 2θ = 17.0°, d 5.206, I 150
hkl 1 1 0, 2θ = 17.5°, d 5.067, I 121
hkl 2 0 0, 2θ = 20.2°, d 4.388, I 216
hkl 1 1 1, 2θ = 22.3°, d 3.989, I 192
hkl 2 0 1, 2θ = 24.5°, d 3.631, I 1000
hkl 0 0 2, 2θ = 27.6°, d 3.233, I 108
hkl 1 2 2, 2θ = 38.9°, d 2.315, I 219
hkl 1 3 1, 2θ = 39.6°, d 2.278, I 106
hkl 1 1 3, 2θ = 45.7°, d 1.984, I 102

Atomic structure:
Lattice parameters (Å, degrees): 10.1347 10.1347 6.4667 90.00 90.00 120.00
Space group P6_3/m (No. 176)
Unique sites:
Na: 0.3333 0.6667 0.2500 x2
C: 0.1430 0.7991 0.7500 x6
F: 0.0448 0.8515 0.7500 x6
F: 0.0661 0.6458 0.7500 x6
F: 0.1501 0.3817 0.5798 x12



# RbTmCuI5
Simulated powder X-ray diffraction pattern, a wavelength of 1.5418 Å. Input: a PBE-relaxed structure.
Intensities are scaled so that the largest is 1000.

The 10 most intense peaks (2θ from 10° to 90°), in order of rising 2θ:
hkl 1 1 0, 2θ = 11.7°, d 7.568, I 639
hkl 1 1 -2, 2θ = 17.4°, d 5.107, I 757
hkl 2 0 0, 2θ = 19.2°, d 4.617, I 289
hkl 1 1 -3, 2θ = 24.7°, d 3.605, I 513
hkl 1 3 1, 2θ = 25.4°, d 3.512, I 1000
hkl 3 1 -1, 2θ = 27.6°, d 3.232, I 590
hkl 2 2 2, 2θ = 33.7°, d 2.663, I 318
hkl 2 4 -2, 2θ = 33.9°, d 2.646, I 379
hkl 1 5 -2, 2θ = 37.7°, d 2.383, I 340
hkl 4 0 -4, 2θ = 40.8°, d 2.212, I 465

Atomic structure:
Lattice parameters (Å, degrees): 10.0633 13.2095 11.2450 90.00 113.44 90.00
Space group C2/c (No. 15)
Unique sites:
Rb: 0.0000 0.1425 0.2500 x4
Tm: 0.0000 0.5000 0.0000 x4
Cu: 0.0000 0.1914 0.7500 x4
I: 0.0000 0.4197 0.2500 x4
I: 0.1124 0.2956 0.6141 x8
I: 0.1959 0.0766 0.9325 x8